For Ac13Sm2, a GGA-PBE-relaxed structure gives the calculated PXRD pattern in this record (Cu Kα, 1.54184 Å).
Intensities are scaled so that the largest is 100.

Largest 10 diffraction maxima, in order of rising 2θ, 10° ≤ 2θ ≤ 90°:
index, 2θ/deg, I_rel
-2 1 1, 28.48, 100
0 4 1, 37.02, 5
-1 4 2, 40.70, 15
0 3 -3, 50.41, 19
3 0 -3, 50.49, 12
1 6 3, 56.14, 11
3 5 2, 56.22, 7
-4 2 2, 58.98, 5
-3 5 3, 66.77, 5
4 -5 1, 81.18, 5

Atomic structure:
```
data_Ac13Sm2
_chemical_formula_sum 'Ac13 Sm2'
_space_group_name_H-M_alt 'P -1'
_space_group_IT_number 2
_space_group_name_Hall '-P 1'
_cell_length_a 7.3403
_cell_length_b 9.9151
_cell_length_c 9.9258
_cell_angle_alpha 66.39
_cell_angle_beta 82.17
_cell_angle_gamma 82.23
loop_
_atom_site_label
_atom_site_fract_x
_atom_site_fract_y
_atom_site_fract_z
_atom_site_occupancy
Ac1 0.0000 0.0000 0.0000 1
Ac2 0.0970 0.4406 0.7527 1
Ac3 0.2003 0.1987 0.2017 1
Ac4 0.2882 0.9716 0.6276 1
Ac5 0.2972 0.6336 0.9656 1
Ac6 0.4021 0.3982 0.4028 1
Ac7 0.4936 0.8324 0.1718 1
Sm1 0.1014 0.7692 0.4303 1
```